Record 1
Diffraction record for TbEu2GeO6. The powder X-ray diffraction pattern is computed, not measured: it uses DFT lattice parameters and positions (GGA-PBE) and Cu Ka.

Structure:
Unit cell a=5.770 b=5.770 c=5.770 alpha=60.00 beta=60.00 gamma=60.00
Atoms (fractional coordinates):
Tb 0.000 0.000 0.000
Eu 0.250 0.250 0.250
Eu 0.750 0.750 0.750
Ge 0.500 0.500 0.500
O 0.268 0.268 0.732
O 0.268 0.732 0.268
O 0.268 0.732 0.732
O 0.732 0.268 0.268
O 0.732 0.268 0.732
O 0.732 0.732 0.268

Largest 6 diffraction maxima, by angle, 15 to 90 degrees two-theta:
31.00 deg, 2.885 Å, intensity 1000
44.41 deg, 2.040 Å, intensity 286
55.14 deg, 1.666 Å, intensity 397
64.62 deg, 1.442 Å, intensity 176
73.39 deg, 1.290 Å, intensity 178
89.99 deg, 1.090 Å, intensity 220



Record 2
Diffraction record for Eu3Ge13Os4. The powder X-ray diffraction pattern is computed, not measured: it uses DFT lattice parameters and positions (GGA-PBE) and Cu Ka.

Structure:
Unit cell a=9.183 b=9.183 c=9.183 alpha=90.00 beta=90.00 gamma=90.00
Atoms (fractional coordinates):
Eu 0.000 0.250 0.500
Eu 0.000 0.750 0.500
Eu 0.250 0.500 0.000
Eu 0.500 0.000 0.250
Eu 0.500 0.000 0.750
Eu 0.750 0.500 0.000
Ge 0.000 0.000 0.000
Ge 0.000 0.292 0.145
Ge 0.000 0.292 0.855
Ge 0.000 0.708 0.145
Ge 0.000 0.708 0.855
Ge 0.145 0.000 0.292
Ge 0.145 0.000 0.708
Ge 0.208 0.500 0.355
Ge 0.208 0.500 0.645
Ge 0.292 0.145 0.000
Ge 0.292 0.855 0.000
Ge 0.355 0.208 0.500
Ge 0.355 0.792 0.500
Ge 0.500 0.355 0.208
Ge 0.500 0.355 0.792
Ge 0.500 0.500 0.500
Ge 0.500 0.645 0.208
Ge 0.500 0.645 0.792
Ge 0.645 0.208 0.500
Ge 0.645 0.792 0.500
Ge 0.708 0.145 0.000
Ge 0.708 0.855 0.000
Ge 0.792 0.500 0.355
Ge 0.792 0.500 0.645
Ge 0.855 0.000 0.292
Ge 0.855 0.000 0.708
Os 0.250 0.250 0.250
Os 0.250 0.250 0.750
Os 0.250 0.750 0.250
Os 0.250 0.750 0.750
Os 0.750 0.250 0.250
Os 0.750 0.250 0.750
Os 0.750 0.750 0.250
Os 0.750 0.750 0.750

Largest 6 diffraction maxima, by angle, 15 to 90 degrees two-theta:
19.33 deg, 4.592 Å, intensity 536
33.81 deg, 2.651 Å, intensity 520
35.24 deg, 2.547 Å, intensity 1000
39.24 deg, 2.296 Å, intensity 640
48.57 deg, 1.874 Å, intensity 555
67.68 deg, 1.384 Å, intensity 373